Record 1
For Ho2Sc4Si3H2, a GGA-PBE-relaxed structure gives the calculated X-ray diffraction stick pattern in this record (Cu Ka).
Kinematic intensities with the Lorentz-polarization factor, no thermal factor.

Top 10 peaks for 15° ≤ 2θ ≤ 90°, most intense first:
30.74°, I 100, (1 1 2)
24.08°, I 81, (1 0 3)
29.01°, I 61, (1 0 5)
38.49°, I 58, (1 1 6)
42.42°, I 55, (2 0 0)
35.23°, I 51, (1 0 7)
32.19°, I 28, (0 0 8)
56.28°, I 26, (2 1 7)
52.21°, I 25, (2 1 5)
54.23°, I 25, (2 0 8)

Atomic structure:
```
data_Ho2Sc4Si3H2
_chemical_formula_sum 'Ho4 Sc8 Si6 H4'
_symmetry_space_group_name_H-M 'I 4/m m m'
_symmetry_Int_Tables_number 139
_symmetry_space_group_name_Hall '-I 4 2'
_cell_length_a 4.262
_cell_length_b 4.262
_cell_length_c 22.248
_cell_angle_alpha 90.00
_cell_angle_beta 90.00
_cell_angle_gamma 90.00
loop_
_atom_site_label
_atom_site_type_symbol
_atom_site_fract_x
_atom_site_fract_y
_atom_site_fract_z
_atom_site_occupancy
Ho1 Ho 0.000 0.000 0.199 1
Sc1 Sc 0.000 0.500 0.078 1
Si1 Si 0.000 0.000 0.333 1
Si2 Si 0.000 0.000 0.500 1
H1 H 0.000 0.000 0.095 1
```

Record 2
For Ho8Si3HSe4, a GGA-PBE-relaxed structure gives the calculated X-ray diffraction stick pattern in this record (Cu Ka).
Kinematic intensities with the Lorentz-polarization factor, no thermal factor.

Top 10 peaks for 15° ≤ 2θ ≤ 90°, most intense first:
31.25°, I 100, (0 2 4)
27.06°, I 39, (2 0 2)
44.99°, I 37, (2 2 0)
44.57°, I 37, (2 0 8)
55.80°, I 19, (4 0 4)
74.37°, I 16, (2 4 4)
73.75°, I 16, (2 2 12)
26.73°, I 13, (0 0 6)
53.10°, I 12, (2 2 6)
82.71°, I 12, (4 2 8)

Atomic structure:
```
data_Ho8Si3HSe4
_chemical_formula_sum 'Ho24 Si9 H3 Se12'
_symmetry_space_group_name_H-M 'R -3 m'
_symmetry_Int_Tables_number 166
_symmetry_space_group_name_Hall '-R 3 2"'
_cell_length_a 8.0597
_cell_length_b 8.0597
_cell_length_c 20.0117
_cell_angle_alpha 90.00
_cell_angle_beta 90.00
_cell_angle_gamma 120.00
loop_
_atom_site_label
_atom_site_type_symbol
_atom_site_fract_x
_atom_site_fract_y
_atom_site_fract_z
_atom_site_occupancy
Ho1 Ho 0.0000 0.0000 0.2456 1
Ho2 Ho 0.0057 0.5029 0.7541 1
Si1 Si 0.0000 0.5000 0.5000 1
H1 H 0.0000 0.0000 0.5000 1
Se1 Se 0.0000 0.0000 0.0000 1
Se2 Se 0.0000 0.5000 0.0000 1
```

Record 3
For Sm3HoH8, a GGA-PBE-relaxed structure gives the calculated X-ray diffraction stick pattern in this record (Cu Ka).
Kinematic intensities with the Lorentz-polarization factor, no thermal factor.

Top 8 peaks for 15° ≤ 2θ ≤ 90°, most intense first:
29.13°, I 100, (1 1 1)
33.77°, I 49, (2 0 0)
57.58°, I 44, (3 1 1)
48.50°, I 38, (2 2 0)
78.53°, I 18, (3 3 1)
80.99°, I 16, (4 2 0)
60.40°, I 13, (2 2 2)
71.02°, I 6, (4 0 0)

Atomic structure:
```
data_Sm3HoH8
_chemical_formula_sum 'Sm3 Ho1 H8'
_symmetry_space_group_name_H-M 'P m -3 m'
_symmetry_Int_Tables_number 221
_symmetry_space_group_name_Hall '-P 4 2 3'
_cell_length_a 5.309
_cell_length_b 5.309
_cell_length_c 5.309
_cell_angle_alpha 90.00
_cell_angle_beta 90.00
_cell_angle_gamma 90.00
loop_
_atom_site_label
_atom_site_type_symbol
_atom_site_fract_x
_atom_site_fract_y
_atom_site_fract_z
_atom_site_occupancy
Sm1 Sm 0.000 0.000 0.500 1
Ho1 Ho 0.500 0.500 0.500 1
H1 H 0.256 0.256 0.256 1
```